Simulated XRD peak list
Compound: Er6IrRu2
Radiation: Cu Kα X-rays
Structure: a PBE-relaxed structure
Intensities are scaled so that the largest is 1000.

Cell and atoms:
```
data_Er6IrRu2
_cell_length_a 6.547
_cell_length_b 7.283
_cell_length_c 11.261
_cell_angle_alpha 90.00
_cell_angle_beta 123.50
_cell_angle_gamma 90.00
_symmetry_space_group_name_H-M 'P 1 21/c 1'
_symmetry_Int_Tables_number 14
_symmetry_space_group_name_Hall '-P 2ybc'
loop_
_atom_site_label
_atom_site_fract_x
_atom_site_fract_y
_atom_site_fract_z
Er1 0.075 0.042 0.240
Er2 0.221 0.670 0.071
Er3 0.399 0.171 0.073
Ir1 0.500 0.000 0.500
Ru1 0.311 0.131 0.776
```

Most intense lines, 15° ≤ 2θ ≤ 90°, by angle:
- 29.8 deg, I 861, hkl 1 2 -2
- 29.9 deg, I 707, hkl 2 1 -2
- 31.1 deg, I 589, hkl 0 1 3
- 31.2 deg, I 926, hkl 1 0 2
- 31.8 deg, I 1000, hkl 2 1 -3
- 32.1 deg, I 486, hkl 1 0 -4
- 33.8 deg, I 629, hkl 1 2 1
- 37.9 deg, I 575, hkl 0 2 3
- 39.6 deg, I 794, hkl 1 3 -1
- 47.0 deg, I 514, hkl 3 1 -1

---

Simulated XRD peak list
Compound: Ca2YCd6
Radiation: Cu Kα X-rays
Structure: a PBE-relaxed structure
Intensities are scaled so that the largest is 1000.

Cell and atoms:
```
data_Ca2YCd6
_cell_length_a 8.6729
_cell_length_b 8.6729
_cell_length_c 3.5315
_cell_angle_alpha 90.00
_cell_angle_beta 90.00
_cell_angle_gamma 120.00
_symmetry_space_group_name_H-M 'P 6/m m m'
_symmetry_Int_Tables_number 191
_symmetry_space_group_name_Hall '-P 6 2'
loop_
_atom_site_label
_atom_site_fract_x
_atom_site_fract_y
_atom_site_fract_z
Ca1 0.3333 0.6667 0.0000
Y1 0.0000 0.0000 0.0000
Cd1 0.0000 0.3327 0.5000
```

Most intense lines, 15° ≤ 2θ ≤ 90°, by angle:
- 20.5 deg, I 152, hkl 1 1 0
- 25.2 deg, I 295, hkl 0 0 1
- 32.7 deg, I 934, hkl 1 1 1
- 35.9 deg, I 1000, hkl 3 0 0
- 44.4 deg, I 386, hkl 3 0 1
- 49.3 deg, I 281, hkl 2 2 1
- 62.5 deg, I 265, hkl 4 1 1
- 64.5 deg, I 167, hkl 3 3 0
- 64.6 deg, I 332, hkl 3 0 2
- 87.1 deg, I 146, hkl 3 3 2